Simulated X-ray powder pattern
Compound: Nb9Co4Ge
Radiation: Cu Kα
Structure: DFT lattice parameters and positions (PBE)
Lines closer than 0.1° are merged.

The 6 most intense peaks (2θ = 10–90°), in order of falling intensity:
hkl	2θ/deg	d [Å]	I/Imax
4 3 1	38.5	2.341	100
5 2 1	40.9	2.206	78
2 2 2	40.6	2.224	76
6 2 0	43.3	2.087	70
4 0 2	45.2	2.008	53
4 4 0	38.6	2.334	32

Atomic structure:
```
data_Nb9Co4Ge
_space_group_name_H-M_alt 'I 4/m c m'
_space_group_IT_number 140
_space_group_name_Hall '-I 4 2c'
_cell_length_a 13.202
_cell_length_b 13.202
_cell_length_c 5.060
_cell_angle_alpha 90.00
_cell_angle_beta 90.00
_cell_angle_gamma 90.00
loop_
_atom_site_label
_atom_site_type_symbol
_atom_site_fract_x
_atom_site_fract_y
_atom_site_fract_z
Nb1 Nb 0.000 0.500 0.250
Nb2 Nb 0.069 0.294 0.000
Nb3 Nb 0.087 0.166 0.500
Co1 Co 0.133 0.367 0.500
Co2 Co 0.250 0.250 0.250
Ge1 Ge 0.000 0.000 0.250
```

***

Simulated X-ray powder pattern
Compound: Nd2Co3Ge4
Radiation: Cu Kα
Structure: DFT lattice parameters and positions (PBE)
Lines closer than 0.1° are merged.

The 6 most intense peaks (2θ = 10–90°), in order of falling intensity:
hkl	2θ/deg	d [Å]	I/Imax
1 3 3	39.6	2.277	100
1 3 1	33.4	2.680	44
2 0 4	44.8	2.021	36
2 0 0	33.2	2.697	33
3 3 3	63.6	1.462	24
0 0 4	29.3	3.052	19

Atomic structure:
```
data_Nd2Co3Ge4
_space_group_name_H-M_alt 'F m m m'
_space_group_IT_number 69
_space_group_name_Hall '-F 2 2'
_cell_length_a 5.394
_cell_length_b 9.577
_cell_length_c 12.209
_cell_angle_alpha 90.00
_cell_angle_beta 90.00
_cell_angle_gamma 90.00
loop_
_atom_site_label
_atom_site_type_symbol
_atom_site_fract_x
_atom_site_fract_y
_atom_site_fract_z
Nd1 Nd 0.000 0.000 0.134
Co1 Co 0.000 0.000 0.500
Co2 Co 0.250 0.250 0.000
Ge1 Ge 0.000 0.173 0.350
```

***

Simulated X-ray powder pattern
Compound: Nd4CoGe8
Radiation: Cu Kα
Structure: DFT lattice parameters and positions (PBE)
Lines closer than 0.1° are merged.

The 6 most intense peaks (2θ = 10–90°), in order of falling intensity:
hkl	2θ/deg	d [Å]	I/Imax
1 1 3	34.6	2.593	100
0 1 5	34.3	2.616	20
0 2 0	43.0	2.103	19
1 0 6	39.1	2.301	18
2 0 0	44.3	2.043	18
0 0 6	32.1	2.785	15

Atomic structure:
```
data_Nd4CoGe8
_space_group_name_H-M_alt 'P m m 2'
_space_group_IT_number 25
_cell_length_a 4.086
_cell_length_b 4.205
_cell_length_c 16.710
_cell_angle_alpha 90.00
_cell_angle_beta 90.00
_cell_angle_gamma 90.00
loop_
_space_group_symop_operation_xyz
'x,y,z'
'-x,-y,z'
'-x,y,z'
'x,-y,z'
loop_
_atom_site_label
_atom_site_type_symbol
_atom_site_fract_x
_atom_site_fract_y
_atom_site_fract_z
Nd1 Nd 0.000 0.000 0.000
Nd2 Nd 0.000 0.500 0.498
Nd3 Nd 0.500 0.000 0.789
Nd4 Nd 0.500 0.500 0.288
Co1 Co 0.000 0.000 0.204
Ge1 Ge 0.000 0.000 0.345
Ge2 Ge 0.000 0.000 0.641
Ge3 Ge 0.000 0.500 0.137
Ge4 Ge 0.000 0.500 0.845
Ge5 Ge 0.500 0.000 0.138
Ge6 Ge 0.500 0.000 0.441
Ge7 Ge 0.500 0.500 0.646
Ge8 Ge 0.500 0.500 0.943
```

***

Simulated X-ray powder pattern
Compound: NdCo9Ge4
Radiation: Cu Kα
Structure: DFT lattice parameters and positions (PBE)
Lines closer than 0.1° are merged.

The 6 most intense peaks (2θ = 10–90°), in order of falling intensity:
hkl	2θ/deg	d [Å]	I/Imax
3 1 2	39.2	2.299	100
2 1 5	46.2	1.964	54
2 0 4	38.0	2.365	53
4 1 1	48.2	1.889	48
3 2 3	47.5	1.913	43
1 1 4	34.3	2.612	35

Atomic structure:
```
data_NdCo9Ge4
_space_group_name_H-M_alt 'I 4/m c m'
_space_group_IT_number 140
_space_group_name_Hall '-I 4 2c'
_cell_length_a 7.889
_cell_length_b 7.889
_cell_length_c 11.822
_cell_angle_alpha 90.00
_cell_angle_beta 90.00
_cell_angle_gamma 90.00
loop_
_atom_site_label
_atom_site_type_symbol
_atom_site_fract_x
_atom_site_fract_y
_atom_site_fract_z
Nd1 Nd 0.000 0.000 0.250
Co1 Co 0.000 0.500 0.000
Co2 Co 0.066 0.199 0.000
Co3 Co 0.123 0.377 0.177
Ge1 Ge 0.173 0.327 0.374
```

***

Simulated X-ray powder pattern
Compound: NdCoGe2
Radiation: Cu Kα
Structure: DFT lattice parameters and positions (PBE)
Lines closer than 0.1° are merged.

The 6 most intense peaks (2θ = 10–90°), in order of falling intensity:
hkl	2θ/deg	d [Å]	I/Imax
2 1 0	33.4	2.682	100
1 1 3	36.1	2.491	75
0 0 4	34.6	2.592	65
0 2 0	43.1	2.100	49
3 0 3	47.2	1.927	34
2 0 3	36.6	2.453	32

Atomic structure:
```
data_NdCoGe2
_space_group_name_H-M_alt 'P n m a'
_space_group_IT_number 62
_cell_length_a 6.969
_cell_length_b 4.201
_cell_length_c 10.359
_cell_angle_alpha 90.00
_cell_angle_beta 90.00
_cell_angle_gamma 90.00
loop_
_space_group_symop_operation_xyz
'x,y,z'
'-x,-y,-z'
'-x+1/2,-y,z+1/2'
'x+1/2,y,-z+1/2'
'x+1/2,-y+1/2,-z+1/2'
'-x+1/2,y+1/2,z+1/2'
'-x,y+1/2,-z'
'x,-y+1/2,z'
loop_
_atom_site_label
_atom_site_type_symbol
_atom_site_fract_x
_atom_site_fract_y
_atom_site_fract_z
Nd1 Nd 0.172 0.250 0.127
Co1 Co 0.011 0.750 0.367
Ge1 Ge 0.147 0.250 0.432
Ge2 Ge 0.149 0.250 0.827
```

***

Simulated X-ray powder pattern
Compound: Nd6Co5Ge2
Radiation: Cu Kα
Structure: DFT lattice parameters and positions (PBE)
Lines closer than 0.1° are merged.

The 6 most intense peaks (2θ = 10–90°), in order of falling intensity:
hkl	2θ/deg	d [Å]	I/Imax
1 2 2	30.9	2.893	100
1 0 4	31.7	2.826	39
0 2 6	40.3	2.238	39
2 0 0	43.1	2.099	35
0 4 0	38.5	2.341	30
2 2 6	60.5	1.531	24

Atomic structure:
```
data_Nd6Co5Ge2
_space_group_name_H-M_alt 'A m m 2'
_space_group_IT_number 38
_cell_length_a 4.197
_cell_length_b 9.364
_cell_length_c 15.284
_cell_angle_alpha 90.00
_cell_angle_beta 90.00
_cell_angle_gamma 90.00
loop_
_space_group_symop_operation_xyz
'x,y,z'
'-x,-y,z'
'-x,y,z'
'x,-y,z'
'x,y+1/2,z+1/2'
'-x,-y+1/2,z+1/2'
'-x,y+1/2,z+1/2'
'x,-y+1/2,z+1/2'
loop_
_atom_site_label
_atom_site_type_symbol
_atom_site_fract_x
_atom_site_fract_y
_atom_site_fract_z
Nd1 Nd 0.000 0.000 0.000
Nd2 Nd 0.000 0.201 0.197
Nd3 Nd 0.500 0.000 0.624
Nd4 Nd 0.500 0.232 0.882
Co1 Co 0.500 0.000 0.132
Co2 Co 0.500 0.000 0.279
Co3 Co 0.500 0.000 0.444
Co4 Co 0.500 0.214 0.061
Ge1 Ge 0.000 0.000 0.369
Ge2 Ge 0.000 0.000 0.791
```

***

Simulated X-ray powder pattern
Compound: Nd2ZnCo3Ge4
Radiation: Cu Kα
Structure: DFT lattice parameters and positions (PBE)
Lines closer than 0.1° are merged.

The 6 most intense peaks (2θ = 10–90°), in order of falling intensity:
hkl	2θ/deg	d [Å]	I/Imax
1 1 2	35.5	2.532	100
1 0 3	34.6	2.591	59
2 0 0	43.5	2.081	56
2 1 3	56.7	1.622	28
1 0 5	50.9	1.793	24
3 1 2	74.6	1.272	22

Atomic structure:
```
data_Nd2ZnCo3Ge4
_space_group_name_H-M_alt 'P -4 m 2'
_space_group_IT_number 115
_cell_length_a 4.162
_cell_length_b 4.162
_cell_length_c 9.931
_cell_angle_alpha 90.00
_cell_angle_beta 90.00
_cell_angle_gamma 90.00
loop_
_space_group_symop_operation_xyz
'x,y,z'
'y,-x,-z'
'-x,-y,z'
'-y,x,-z'
'-x,y,z'
'-y,-x,-z'
'x,-y,z'
'y,x,-z'
loop_
_atom_site_label
_atom_site_type_symbol
_atom_site_fract_x
_atom_site_fract_y
_atom_site_fract_z
Nd1 Nd 0.000 0.500 0.241
Zn1 Zn 0.000 0.000 0.500
Co1 Co 0.000 0.500 0.882
Co2 Co 0.500 0.500 0.500
Ge1 Ge 0.000 0.000 0.000
Ge2 Ge 0.000 0.500 0.645
Ge3 Ge 0.500 0.500 0.000
```

***

Simulated X-ray powder pattern
Compound: CoNi6Ge2
Radiation: Cu Kα
Structure: DFT lattice parameters and positions (PBE)
Lines closer than 0.1° are merged.

The 6 most intense peaks (2θ = 10–90°), in order of falling intensity:
hkl	2θ/deg	d [Å]	I/Imax
2 2 -1	44.7	2.029	100
1 1 2	42.6	2.122	50
2 0 -3	48.2	1.888	32
3 1 1	46.0	1.975	26
3 1 -1	37.4	2.406	24
4 0 -1	42.5	2.127	24

Atomic structure:
```
data_CoNi6Ge2
_space_group_name_H-M_alt 'C 1 2/m 1'
_space_group_IT_number 12
_cell_length_a 8.528
_cell_length_b 4.762
_cell_length_c 5.725
_cell_angle_alpha 90.00
_cell_angle_beta 107.96
_cell_angle_gamma 90.00
loop_
_space_group_symop_operation_xyz
'x,y,z'
'-x,-y,-z'
'-x,y,-z'
'x,-y,z'
'x+1/2,y+1/2,z'
'-x+1/2,-y+1/2,-z'
'-x+1/2,y+1/2,-z'
'x+1/2,-y+1/2,z'
loop_
_atom_site_label
_atom_site_type_symbol
_atom_site_fract_x
_atom_site_fract_y
_atom_site_fract_z
Co1 Co 0.000 0.000 0.000
Ni1 Ni 0.085 0.259 0.715
Ni2 Ni 0.190 0.000 0.411
Ge1 Ge 0.156 0.500 0.154
```